Tm6Ge2SeS3: calculated X-ray powder pattern (CuKα), based on the PBE geometry in Alexandria.
Peak positions follow from Bragg's law for the DFT cell and can differ from measured ones.

Largest 6 diffraction maxima, sorted by position, 2θ from 10° to 90°:
- 2θ 27.46, I = 25
- 2θ 31.84, I = 100
- 2θ 45.46, I = 24
- 2θ 45.56, I = 12
- 2θ 45.87, I = 24
- 2θ 56.67, I = 13

Atomic structure:
Cell lengths 8.8579, 8.8579, 7.9418 Å; angles 102.28, 102.28, 25.98 degrees
Element x y z (fractional)
Tm: 0.0026 0.0026 0.2631
Tm: 0.3301 0.3301 0.9101
Tm: 0.3331 0.3331 0.4178
Tm: 0.6669 0.6669 0.5822
Tm: 0.6699 0.6699 0.0899
Tm: 0.9974 0.9974 0.7369
Ge: 0.1664 0.1664 0.3321
Ge: 0.8336 0.8336 0.6679
Se: 0.5000 0.5000 0.0000
S: 0.1639 0.1639 0.8352
S: 0.5000 0.5000 0.5000
S: 0.8361 0.8361 0.1648